ZnPd4Au2: calculated powder X-ray diffraction pattern (Cu Kα), based on a structure optimized by DFT (GGA-PBE).

Crystal structure
Lattice parameters (Å, degrees): 7.796 7.796 7.881 90.00 90.00 90.00
Space group I-42d (No. 122)
Symmetry-distinct sites (fractional):
Zn: 0.000 0.000 0.000 (multiplicity 4)
Pd: 0.079 0.178 0.283 (multiplicity 16)
Au: 0.116 0.250 0.625 (multiplicity 8)

Main lines, by angle (2θ = 5–70°):
h k l, 2θ (°), I/Imax
1 1 2, 27.8, 22
1 0 3, 36.1, 37
3 1 0, 36.4, 100
2 1 3, 43.1, 61
3 1 2, 43.3, 18
3 2 1, 43.4, 33



Sm6DyY2Er: calculated powder X-ray diffraction pattern (Cu Kα), based on a structure optimized by DFT (GGA-PBE).

Crystal structure
Lattice parameters (Å, degrees): 9.232 15.214 9.565 90.00 96.84 90.00
Space group C2/c (No. 15)
Symmetry-distinct sites (fractional):
Sm: 0.061 0.180 0.444 (multiplicity 8)
Sm: 0.098 0.390 0.618 (multiplicity 8)
Sm: 0.211 0.224 0.813 (multiplicity 8)
Dy: 0.000 0.028 0.750 (multiplicity 4)
Y: 0.249 0.451 0.954 (multiplicity 8)
Er: 0.000 0.410 0.250 (multiplicity 4)

Main lines, by angle (2θ = 5–70°):
h k l, 2θ (°), I/Imax
1 3 2, 28.3, 39
3 1 -1, 30.2, 54
0 2 3, 30.6, 56
2 2 2, 31.0, 100
2 4 -1, 31.3, 37
1 3 -3, 33.8, 36



DyPa4Ge5: calculated powder X-ray diffraction pattern (Cu Kα), based on a structure optimized by DFT (GGA-PBE).

Crystal structure
Lattice parameters (Å, degrees): 4.147 5.850 20.656 90.00 90.00 90.00
Space group Immm (No. 71)
Symmetry-distinct sites (fractional):
Dy: 0.000 0.000 0.000 (multiplicity 2)
Pa: 0.000 0.000 0.199 (multiplicity 4)
Pa: 0.000 0.000 0.401 (multiplicity 4)
Ge: 0.000 0.500 0.000 (multiplicity 2)
Ge: 0.000 0.500 0.200 (multiplicity 4)
Ge: 0.000 0.500 0.398 (multiplicity 4)

Main lines, by angle (2θ = 5–70°):
h k l, 2θ (°), I/Imax
1 1 0, 26.4, 43
1 0 5, 30.5, 100
2 0 0, 43.7, 13
1 2 5, 43.8, 63
2 2 0, 54.2, 14
0 2 10, 54.4, 13



YTm4Th6: calculated powder X-ray diffraction pattern (Cu Kα), based on a structure optimized by DFT (GGA-PBE).

Crystal structure
Lattice parameters (Å, degrees): 6.380 6.380 17.940 90.00 90.00 90.00
Space group I-42m (No. 121)
Symmetry-distinct sites (fractional):
Y: 0.000 0.000 0.000 (multiplicity 2)
Tm: 0.184 0.184 0.373 (multiplicity 8)
Th: 0.000 0.500 0.000 (multiplicity 4)
Th: 0.188 0.188 0.189 (multiplicity 8)

Main lines, by angle (2θ = 5–70°):
h k l, 2θ (°), I/Imax
1 1 2, 22.1, 32
1 1 4, 28.0, 82
2 0 2, 29.7, 79
2 1 1, 31.8, 100
2 0 4, 34.5, 50
1 1 6, 36.0, 63